Simulated powder XRD pattern of BaTmFe4O7 for Cu Kα (weighted mean of Kα1 and Kα2), from a structure optimized by DFT (GGA+U).

The 8 most intense peaks (5 to 70 degrees two-theta), by angle:
27.74 deg, I = 64; 28.30 deg, I = 31; 32.21 deg, I = 51; 33.20 deg, I = 100; 34.38 deg, I = 25; 49.76 deg, I = 29; 53.29 deg, I = 25; 57.29 deg, I = 34

Structure:
```
BaTmFe4O7
1.0
-3.153 3.153 4.644
3.153 -3.153 4.644
3.153 3.153 -4.644
Ba Tm Fe O
1 1 4 7
direct
0.000 0.000 0.000
0.750 0.250 0.500
0.338 0.629 0.228
0.371 0.599 0.709
0.401 0.110 0.772
0.890 0.662 0.291
0.026 0.033 0.603
0.430 0.423 0.397
0.500 0.500 0.000
0.507 0.007 0.500
0.577 0.974 0.007
0.967 0.570 0.993
0.993 0.493 0.500
```